This entry pairs a crystal structure of Nb4PbSN2 with its simulated PXRD pattern. Radiation: CuKα. Structure: a DFT-relaxed cell (PBE, OQMD).
Peak positions follow from Bragg's law for the DFT cell and can differ from measured ones.

The 12 most intense peaks (2θ from 5° to 70°), most intense first:
- 2.380 Å, 2θ 37.80, I = 100
- 2.897 Å, 2θ 30.86, I = 35
- 2.630 Å, 2θ 34.10, I = 33
- 12.523 Å, 2θ 7.06, I = 32
- 1.673 Å, 2θ 54.88, I = 27
- 1.369 Å, 2θ 68.56, I = 17
- 1.377 Å, 2θ 68.08, I = 14
- 2.505 Å, 2θ 35.85, I = 13
- 1.391 Å, 2θ 67.31, I = 13
- 1.895 Å, 2θ 48.01, I = 12
- 1.694 Å, 2θ 54.16, I = 11
- 4.174 Å, 2θ 21.28, I = 8

Crystal structure
Unit cell a=3.346 b=3.346 c=12.523 alpha=90.00 beta=90.00 gamma=120.00
Positions (direct):
Nb 0.000 0.000 0.139
Nb 0.000 0.000 0.861
Nb 0.667 0.333 0.308
Nb 0.667 0.333 0.692
Pb 0.000 0.000 0.500
S 0.667 0.333 0.000
N 0.333 0.667 0.231
N 0.333 0.667 0.769

---

This entry pairs a crystal structure of Nb4SnPbN2 with its simulated PXRD pattern. Radiation: CuKα. Structure: a DFT-relaxed cell (PBE, OQMD).
Peak positions follow from Bragg's law for the DFT cell and can differ from measured ones.

The 12 most intense peaks (2θ from 5° to 70°), most intense first:
- 2.424 Å, 2θ 37.09, I = 100
- 2.857 Å, 2θ 31.31, I = 23
- 1.649 Å, 2θ 55.73, I = 22
- 2.291 Å, 2θ 39.32, I = 17
- 1.364 Å, 2θ 68.85, I = 16
- 1.787 Å, 2θ 51.10, I = 15
- 1.347 Å, 2θ 69.82, I = 15
- 13.748 Å, 2θ 6.43, I = 12
- 2.797 Å, 2θ 32.00, I = 7
- 2.638 Å, 2θ 33.98, I = 5
- 3.437 Å, 2θ 25.92, I = 4
- 6.874 Å, 2θ 12.88, I = 3

Crystal structure
Unit cell a=3.299 b=3.299 c=13.748 alpha=90.00 beta=90.00 gamma=120.00
Positions (direct):
Nb 0.000 0.000 0.167
Nb 0.000 0.000 0.833
Nb 0.333 0.667 0.326
Nb 0.333 0.667 0.674
Sn 0.333 0.667 0.000
Pb 0.000 0.000 0.500
N 0.667 0.333 0.248
N 0.667 0.333 0.752

---

This entry pairs a crystal structure of PmNbN3 with its simulated PXRD pattern. Radiation: CuKα. Structure: a DFT-relaxed cell (PBE, OQMD).
Peak positions follow from Bragg's law for the DFT cell and can differ from measured ones.

The 12 most intense peaks (2θ from 5° to 70°), most intense first:
- 2.828 Å, 2θ 31.64, I = 100
- 2.745 Å, 2θ 32.62, I = 44
- 2.984 Å, 2θ 29.95, I = 41
- 3.211 Å, 2θ 27.78, I = 27
- 1.546 Å, 2θ 59.84, I = 24
- 1.691 Å, 2θ 54.25, I = 24
- 1.807 Å, 2θ 50.51, I = 21
- 2.186 Å, 2θ 41.31, I = 21
- 1.550 Å, 2θ 59.64, I = 16
- 1.879 Å, 2θ 48.46, I = 15
- 3.091 Å, 2θ 28.88, I = 13
- 1.590 Å, 2θ 58.02, I = 13

Crystal structure
Unit cell a=3.757 b=6.183 c=5.967 alpha=90.00 beta=90.00 gamma=90.00
Positions (direct):
Pm 0.000 0.159 0.000
Pm 0.000 0.841 0.500
Nb 0.500 0.317 0.530
Nb 0.500 0.683 0.030
N 0.000 0.226 0.604
N 0.000 0.774 0.104
N 0.500 0.086 0.295
N 0.500 0.406 0.885
N 0.500 0.594 0.385
N 0.500 0.914 0.795

---

This entry pairs a crystal structure of PrSm2Nb2N6 with its simulated PXRD pattern. Radiation: CuKα. Structure: a DFT-relaxed cell (PBE, OQMD).
Peak positions follow from Bragg's law for the DFT cell and can differ from measured ones.

The 12 most intense peaks (2θ from 5° to 70°), most intense first:
- 2.817 Å, 2θ 31.76, I = 100
- 2.870 Å, 2θ 31.16, I = 67
- 1.647 Å, 2θ 55.83, I = 41
- 2.029 Å, 2θ 44.65, I = 34
- 2.155 Å, 2θ 41.93, I = 18
- 1.435 Å, 2θ 64.99, I = 10
- 3.974 Å, 2θ 22.37, I = 10
- 1.617 Å, 2θ 56.95, I = 10
- 1.917 Å, 2θ 47.43, I = 9
- 1.630 Å, 2θ 56.46, I = 9
- 2.302 Å, 2θ 39.13, I = 8
- 1.409 Å, 2θ 66.36, I = 8

Crystal structure
Unit cell a=10.197 b=10.197 c=10.197 alpha=157.04 beta=157.04 gamma=32.69
Positions (direct):
Pr 0.000 0.000 0.000
Sm 0.178 0.178 0.000
Sm 0.822 0.822 0.000
Nb 0.396 0.396 0.000
Nb 0.604 0.604 0.000
N 0.086 0.586 0.500
N 0.297 0.297 0.000
N 0.414 0.914 0.500
N 0.586 0.086 0.500
N 0.703 0.703 0.000
N 0.914 0.414 0.500

---

This entry pairs a crystal structure of Nb4S3N2 with its simulated PXRD pattern. Radiation: CuKα. Structure: a DFT-relaxed cell (PBE, OQMD).
Peak positions follow from Bragg's law for the DFT cell and can differ from measured ones.

The 12 most intense peaks (2θ from 5° to 70°), most intense first:
- 2.477 Å, 2θ 36.26, I = 100
- 4.493 Å, 2θ 19.76, I = 39
- 2.124 Å, 2θ 42.56, I = 32
- 3.205 Å, 2θ 27.83, I = 27
- 2.667 Å, 2θ 33.60, I = 27
- 5.994 Å, 2θ 14.78, I = 26
- 2.303 Å, 2θ 39.11, I = 25
- 1.651 Å, 2θ 55.68, I = 23
- 2.835 Å, 2θ 31.55, I = 19
- 1.831 Å, 2θ 49.79, I = 17
- 1.636 Å, 2θ 56.24, I = 15
- 1.897 Å, 2θ 47.96, I = 14

Crystal structure
Unit cell a=6.224 b=6.224 c=9.160 alpha=125.74 beta=125.74 gamma=30.47
Positions (direct):
Nb 0.074 0.074 0.347
Nb 0.295 0.295 0.149
Nb 0.705 0.705 0.851
Nb 0.926 0.926 0.653
S 0.301 0.301 0.713
S 0.500 0.500 0.500
S 0.699 0.699 0.287
N 0.107 0.107 0.897
N 0.893 0.893 0.103

---

This entry pairs a crystal structure of Nb2SN with its simulated PXRD pattern. Radiation: CuKα. Structure: a DFT-relaxed cell (PBE, OQMD).
Peak positions follow from Bragg's law for the DFT cell and can differ from measured ones.

The 12 most intense peaks (2θ from 5° to 70°), most intense first:
- 2.272 Å, 2θ 39.67, I = 100
- 2.658 Å, 2θ 33.72, I = 27
- 1.571 Å, 2θ 58.77, I = 26
- 2.721 Å, 2θ 32.91, I = 25
- 3.095 Å, 2θ 28.85, I = 18
- 1.483 Å, 2θ 62.65, I = 15
- 2.044 Å, 2θ 44.33, I = 15
- 1.401 Å, 2θ 66.77, I = 11
- 1.644 Å, 2θ 55.93, I = 9
- 2.063 Å, 2θ 43.88, I = 8
- 1.831 Å, 2θ 49.79, I = 5
- 6.189 Å, 2θ 14.31, I = 4

Crystal structure
Unit cell a=3.142 b=3.142 c=12.379 alpha=90.00 beta=90.00 gamma=120.00
Positions (direct):
Nb 0.333 0.667 0.106
Nb 0.333 0.667 0.394
Nb 0.667 0.333 0.606
Nb 0.667 0.333 0.894
S 0.333 0.667 0.750
S 0.667 0.333 0.250
N 0.000 0.000 0.000
N 0.000 0.000 0.500

---

This entry pairs a crystal structure of Ta4Nb2Sb3N3 with its simulated PXRD pattern. Radiation: CuKα. Structure: a DFT-relaxed cell (PBE, OQMD).
Peak positions follow from Bragg's law for the DFT cell and can differ from measured ones.

The 12 most intense peaks (2θ from 5° to 70°), most intense first:
- 2.407 Å, 2θ 37.35, I = 100
- 2.422 Å, 2θ 37.12, I = 50
- 2.908 Å, 2θ 30.75, I = 37
- 2.160 Å, 2θ 41.81, I = 23
- 1.677 Å, 2θ 54.74, I = 22
- 1.376 Å, 2θ 68.16, I = 17
- 1.682 Å, 2θ 54.56, I = 12
- 1.382 Å, 2θ 67.81, I = 8
- 1.729 Å, 2θ 52.97, I = 7
- 1.741 Å, 2θ 52.58, I = 7
- 1.733 Å, 2θ 52.83, I = 6
- 6.481 Å, 2θ 13.66, I = 5

Crystal structure
Unit cell a=5.821 b=5.821 c=13.365 alpha=102.19 beta=102.19 gamma=59.80
Positions (direct):
Ta 0.009 0.207 0.080
Ta 0.157 0.306 0.420
Ta 0.207 0.009 0.580
Ta 0.306 0.157 0.920
Ta 0.694 0.843 0.080
Ta 0.793 0.991 0.420
Ta 0.843 0.694 0.580
Ta 0.991 0.793 0.920
Nb 0.373 0.531 0.087
Nb 0.469 0.627 0.413
Nb 0.531 0.373 0.587
Nb 0.627 0.469 0.913
Sb 0.077 0.923 0.250
Sb 0.245 0.415 0.749
Sb 0.415 0.245 0.249
Sb 0.585 0.755 0.751
Sb 0.755 0.585 0.251
Sb 0.923 0.077 0.750
N 0.000 0.500 0.000
N 0.149 0.675 0.500
N 0.325 0.851 0.000
N 0.500 0.000 0.500
N 0.675 0.149 0.000
N 0.851 0.325 0.500